# 1
Structure and computed powder XRD pattern of Ba2Na3Hg6 (a crystal structure in Alexandria, relaxed with GGA-PBE; copper Kα).
Lines closer than 0.1° are merged.

Cell and atoms:
a = 8.9401 Å, b = 8.9401 Å, c = 4.5853 Å
α = 90.00°, β = 90.00°, γ = 101.60°
Sites, in units of the cell vectors:
Ba 0.1970 0.8030 0.0000
Ba 0.8030 0.1970 0.0000
Na 0.3028 0.3028 0.0000
Na 0.5000 0.5000 0.5000
Na 0.6972 0.6972 0.0000
Hg 0.1281 0.1281 0.5000
Hg 0.1543 0.4764 0.5000
Hg 0.4764 0.1543 0.5000
Hg 0.5236 0.8457 0.5000
Hg 0.8457 0.5236 0.5000
Hg 0.8719 0.8719 0.5000

Most intense lines, 10 to 90 degrees two-theta, sorted by position:
19.36°, rel. 78; 25.01°, rel. 61; 28.18°, rel. 38; 28.55°, rel. 99; 30.63°, rel. 100; 36.49°, rel. 65; 39.00°, rel. 31; 39.30°, rel. 39; 43.90°, rel. 27; 45.20°, rel. 27; 50.63°, rel. 50; 56.56°, rel. 21

# 2
Structure and computed powder XRD pattern of CdReRh (a crystal structure in Alexandria, relaxed with GGA-PBE; copper Kα).
Lines closer than 0.1° are merged.

Cell and atoms:
a = 2.8108 Å, b = 2.8108 Å, c = 12.4654 Å
α = 90.00°, β = 90.00°, γ = 90.00°
Sites, in units of the cell vectors:
Cd 0.2500 0.2500 0.1054
Cd 0.7500 0.7500 0.8946
Re 0.2500 0.2500 0.4159
Re 0.7500 0.7500 0.5841
Rh 0.2500 0.2500 0.7234
Rh 0.7500 0.7500 0.2766

Most intense lines, 10 to 90 degrees two-theta, sorted by position:
28.64°, rel. 5; 38.67°, rel. 100; 43.35°, rel. 14; 43.56°, rel. 12; 45.65°, rel. 35; 61.66°, rel. 5; 64.93°, rel. 15; 66.53°, rel. 11; 71.08°, rel. 7; 79.69°, rel. 24; 82.95°, rel. 8; 85.15°, rel. 6